1.
# CsK2Rb7
Computed X-ray powder pattern, Cu Kα (weighted mean of Kα1 and Kα2). Input: a DFT-relaxed cell (PBE, Alexandria).
Peak positions follow from Bragg's law for the DFT cell and can differ from measured ones.

Structural model:
```
data_CsK2Rb7
_chemical_formula_sum 'Cs1 K2 Rb7'
_symmetry_space_group_name_H-M 'P 3 m 1'
_symmetry_Int_Tables_number 156
_cell_length_a 7.8896
_cell_length_b 7.8896
_cell_length_c 17.1660
_cell_angle_alpha 90.00
_cell_angle_beta 90.00
_cell_angle_gamma 120.00
loop_
_symmetry_equiv_pos_as_xyz
'x,y,z'
'-y,x-y,z'
'-x+y,-x,z'
'-y,-x,z'
'-x+y,y,z'
'x,x-y,z'
loop_
_atom_site_label
_atom_site_type_symbol
_atom_site_fract_x
_atom_site_fract_y
_atom_site_fract_z
Cs1 Cs 0.0000 0.0000 0.0000
K1 K 0.3333 0.6667 0.8119
K2 K 0.6667 0.3333 0.4290
Rb1 Rb 0.0000 0.0000 0.3319
Rb2 Rb 0.0000 0.0000 0.6545
Rb3 Rb 0.3333 0.6667 0.1591
Rb4 Rb 0.3333 0.6667 0.5034
Rb5 Rb 0.6667 0.3333 0.1834
Rb6 Rb 0.6667 0.3333 0.6749
Rb7 Rb 0.6667 0.3333 0.9231
```

Top 8 peaks for 5° ≤ 2θ ≤ 70°, in order of rising 2θ:
20.24°, rel. 78, (0 1 3)
22.54°, rel. 100, (1 1 0)
24.49°, rel. 23, (1 0 4)
30.47°, rel. 28, (2 0 3)
38.24°, rel. 30, (1 2 3)
38.89°, rel. 19, (1 1 6)
39.57°, rel. 22, (3 0 0)
46.02°, rel. 14, (2 2 0)



2.
# La3TbPt2
Computed X-ray powder pattern, Cu Kα (weighted mean of Kα1 and Kα2). Input: a DFT-relaxed cell (PBE, Alexandria).
Peak positions follow from Bragg's law for the DFT cell and can differ from measured ones.

Structural model:
```
data_La3TbPt2
_chemical_formula_sum 'La3 Tb1 Pt2'
_symmetry_space_group_name_H-M 'P -1'
_symmetry_Int_Tables_number 2
_cell_length_a 4.765
_cell_length_b 4.829
_cell_length_c 8.191
_cell_angle_alpha 73.40
_cell_angle_beta 74.21
_cell_angle_gamma 89.89
loop_
_symmetry_equiv_pos_as_xyz
'x,y,z'
'-x,-y,-z'
loop_
_atom_site_label
_atom_site_type_symbol
_atom_site_fract_x
_atom_site_fract_y
_atom_site_fract_z
La1 La 0.000 0.000 0.000
La2 La 0.192 0.692 0.623
Tb1 Tb 0.500 0.500 0.000
Pt1 Pt 0.396 0.891 0.254
```

Top 8 peaks for 5° ≤ 2θ ≤ 70°, in order of rising 2θ:
26.28°, rel. 71, (1 -1 0)
29.10°, rel. 75, (1 1 2)
34.93°, rel. 80, (0 1 -2)
35.24°, rel. 87, (1 1 -1)
35.54°, rel. 83, (-1 1 2)
35.79°, rel. 90, (1 -1 2)
37.24°, rel. 100, (0 2 1)
37.77°, rel. 95, (2 0 1)